Theoretical X-ray powder pattern of TmNi3Sb for Cu Kα (weighted mean of Kα1 and Kα2), from a crystal structure in Alexandria, relaxed with GGA-PBE.

The 12 most intense peaks (2θ = 5–70°), sorted by position:
- 17.9 deg, intensity 22.6, (0 2 0)
- 25.8 deg, intensity 16.8, (0 0 2)
- 27.8 deg, intensity 100.0, (1 2 1)
- 29.9 deg, intensity 27.9, (0 3 1)
- 32.3 deg, intensity 31.3, (1 1 2)
- 33.9 deg, intensity 17.8, (2 0 0)
- 37.5 deg, intensity 31.2, (2 1 1)
- 40.2 deg, intensity 29.6, (0 1 3)
- 43.1 deg, intensity 62.5, (2 0 2)
- 45.0 deg, intensity 55.1, (0 4 2)
- 50.4 deg, intensity 53.7, (2 4 0)
- 60.2 deg, intensity 17.3, (2 3 3)

Cell and atoms:
```
data_TmNi3Sb
_chemical_formula_sum 'Tm4 Ni12 Sb4'
_symmetry_space_group_name_H-M 'I m m a'
_symmetry_Int_Tables_number 74
_symmetry_space_group_name_Hall '-I 2b 2'
_cell_length_a 5.286
_cell_length_b 9.931
_cell_length_c 6.903
_cell_angle_alpha 90.00
_cell_angle_beta 90.00
_cell_angle_gamma 90.00
loop_
_atom_site_label
_atom_site_type_symbol
_atom_site_fract_x
_atom_site_fract_y
_atom_site_fract_z
Tm1 Tm 0.000 0.250 0.076
Ni1 Ni 0.000 0.250 0.502
Ni2 Ni 0.250 0.126 0.750
Sb1 Sb 0.000 0.000 0.500
```